Record 1
Simulated powder diffractogram
Compound: Sc2Pa2Sb2C
Radiation: Cu Kα (weighted mean of Kα1 and Kα2)
Structure: a structure optimized by DFT (GGA-PBE)
No peak broadening, texture or thermal motion is included.

Peak list (10 most intense, 2θ from 5° to 70°, by angle)
22.9 deg, I = 39; 26.2 deg, I = 32; 28.0 deg, I = 100; 30.3 deg, I = 39; 34.7 deg, I = 31; 36.5 deg, I = 98; 40.0 deg, I = 65; 45.2 deg, I = 31; 46.6 deg, I = 25; 54.0 deg, I = 35

abc: 4.504 4.504 15.521
angles: 90.00 90.00 90.00
Atoms (fractional coordinates):
Sc1 0.000 0.500 0.000
Sc2 0.000 0.500 0.500
Sc3 0.500 0.000 0.000
Sc4 0.500 0.000 0.500
Pa1 0.000 0.000 0.159
Pa2 0.000 0.000 0.841
Pa3 0.500 0.500 0.341
Pa4 0.500 0.500 0.659
Sb1 0.000 0.000 0.364
Sb2 0.000 0.000 0.636
Sb3 0.500 0.500 0.136
Sb4 0.500 0.500 0.864
C1 0.000 0.000 0.000
C2 0.500 0.500 0.500

***

Record 2
Simulated powder diffractogram
Compound: PrNdCuPb
Radiation: Cu Kα (weighted mean of Kα1 and Kα2)
Structure: a structure optimized by DFT (GGA-PBE)
No peak broadening, texture or thermal motion is included.

Peak list (8 most intense, 2θ from 5° to 70°, by angle)
20.2 deg, I = 13; 33.2 deg, I = 100; 39.2 deg, I = 8; 47.7 deg, I = 18; 52.3 deg, I = 3; 59.4 deg, I = 38; 63.4 deg, I = 3; 69.8 deg, I = 12

abc: 7.624 7.624 7.624
angles: 90.00 90.00 90.00
Atoms (fractional coordinates):
Pr1 0.000 0.000 0.000
Pr2 0.000 0.500 0.500
Pr3 0.500 0.000 0.500
Pr4 0.500 0.500 0.000
Nd1 0.000 0.000 0.500
Nd2 0.000 0.500 0.000
Nd3 0.500 0.000 0.000
Nd4 0.500 0.500 0.500
Cu1 0.250 0.250 0.250
Cu2 0.250 0.750 0.750
Cu3 0.750 0.250 0.750
Cu4 0.750 0.750 0.250
Pb1 0.250 0.250 0.750
Pb2 0.250 0.750 0.250
Pb3 0.750 0.250 0.250
Pb4 0.750 0.750 0.750

***

Record 3
Simulated powder diffractogram
Compound: Bi4Se5Cl
Radiation: Cu Kα (weighted mean of Kα1 and Kα2)
Structure: a structure optimized by DFT (GGA-PBE)
No peak broadening, texture or thermal motion is included.

Peak list (10 most intense, 2θ from 5° to 70°, by angle)
21.9 deg, I = 100; 23.7 deg, I = 78; 32.4 deg, I = 15; 34.2 deg, I = 14; 36.5 deg, I = 25; 37.0 deg, I = 80; 41.0 deg, I = 14; 43.0 deg, I = 19; 43.2 deg, I = 18; 44.0 deg, I = 27

abc: 8.807 9.839 7.232
angles: 90.00 90.00 90.00
Atoms (fractional coordinates):
Bi1 0.051 0.250 0.017
Bi2 0.250 0.519 0.561
Bi3 0.250 0.981 0.561
Bi4 0.449 0.250 0.017
Bi5 0.551 0.750 0.983
Bi6 0.750 0.019 0.439
Bi7 0.750 0.481 0.439
Bi8 0.949 0.750 0.983
Se1 0.026 0.546 0.239
Se2 0.026 0.954 0.239
Se3 0.250 0.750 0.808
Se4 0.474 0.546 0.239
Se5 0.474 0.954 0.239
Se6 0.526 0.046 0.761
Se7 0.526 0.454 0.761
Se8 0.750 0.250 0.192
Se9 0.974 0.046 0.761
Se10 0.974 0.454 0.761
Cl1 0.250 0.250 0.411
Cl2 0.750 0.750 0.589

***

Record 4
Simulated powder diffractogram
Compound: PmB6N6
Radiation: Cu Kα (weighted mean of Kα1 and Kα2)
Structure: a structure optimized by DFT (GGA-PBE)
No peak broadening, texture or thermal motion is included.

Peak list (10 most intense, 2θ from 5° to 70°, by angle)
18.9 deg, I = 100; 26.9 deg, I = 38; 33.1 deg, I = 31; 38.4 deg, I = 27; 43.2 deg, I = 49; 47.6 deg, I = 56; 55.5 deg, I = 7; 59.2 deg, I = 23; 62.7 deg, I = 9; 66.2 deg, I = 13

abc: 4.683 4.683 4.683
angles: 90.00 90.00 90.00
Atoms (fractional coordinates):
Pm1 0.000 0.000 0.000
B1 0.000 0.239 0.500
B2 0.000 0.761 0.500
B3 0.239 0.500 0.000
B4 0.500 0.000 0.239
B5 0.500 0.000 0.761
B6 0.761 0.500 0.000
N1 0.000 0.500 0.250
N2 0.000 0.500 0.750
N3 0.250 0.000 0.500
N4 0.500 0.250 0.000
N5 0.500 0.750 0.000
N6 0.750 0.000 0.500

***

Record 5
Simulated powder diffractogram
Compound: Y3PS6
Radiation: Cu Kα (weighted mean of Kα1 and Kα2)
Structure: a structure optimized by DFT (GGA-PBE)
No peak broadening, texture or thermal motion is included.

Peak list (10 most intense, 2θ from 5° to 70°, by angle)
16.6 deg, I = 54; 25.2 deg, I = 100; 25.6 deg, I = 43; 35.3 deg, I = 32; 36.9 deg, I = 67; 37.7 deg, I = 48; 43.3 deg, I = 38; 47.2 deg, I = 18; 49.9 deg, I = 18; 52.1 deg, I = 20

abc: 8.368 8.368 7.027
angles: 90.00 90.00 102.08
Atoms (fractional coordinates):
Y1 0.101 0.899 0.500
Y2 0.211 0.415 0.565
Y3 0.415 0.211 0.065
Y4 0.585 0.789 0.565
Y5 0.789 0.585 0.065
Y6 0.899 0.101 0.000
P1 0.316 0.684 0.153
P2 0.684 0.316 0.653
S1 0.081 0.599 0.283
S2 0.141 0.185 0.282
S3 0.185 0.141 0.782
S4 0.281 0.719 0.702
S5 0.401 0.919 0.283
S6 0.467 0.533 0.296
S7 0.533 0.467 0.796
S8 0.599 0.081 0.783
S9 0.719 0.281 0.202
S10 0.815 0.859 0.282
S11 0.859 0.815 0.782
S12 0.919 0.401 0.783

***

Record 6
Simulated powder diffractogram
Compound: Sr2Si3
Radiation: Cu Kα (weighted mean of Kα1 and Kα2)
Structure: a structure optimized by DFT (GGA-PBE)
No peak broadening, texture or thermal motion is included.

Peak list (10 most intense, 2θ from 5° to 70°, by angle)
26.0 deg, I = 22; 27.8 deg, I = 10; 30.8 deg, I = 100; 33.9 deg, I = 13; 37.8 deg, I = 19; 41.6 deg, I = 12; 44.8 deg, I = 12; 55.3 deg, I = 14; 57.5 deg, I = 10; 63.9 deg, I = 12

abc: 13.065 13.065 4.049
angles: 90.00 90.00 159.00
Atoms (fractional coordinates):
Sr1 0.070 0.930 0.750
Sr2 0.202 0.798 0.250
Sr3 0.798 0.202 0.750
Sr4 0.930 0.070 0.250
Si1 0.331 0.669 0.250
Si2 0.383 0.617 0.750
Si3 0.477 0.523 0.750
Si4 0.523 0.477 0.250
Si5 0.617 0.383 0.250
Si6 0.669 0.331 0.750

***

Record 7
Simulated powder diffractogram
Compound: Pm6Ge2Rh
Radiation: Cu Kα (weighted mean of Kα1 and Kα2)
Structure: a structure optimized by DFT (GGA-PBE)
No peak broadening, texture or thermal motion is included.

Peak list (10 most intense, 2θ from 5° to 70°, by angle)
21.9 deg, I = 8; 25.0 deg, I = 15; 25.3 deg, I = 30; 35.8 deg, I = 100; 36.3 deg, I = 20; 51.3 deg, I = 7; 51.9 deg, I = 14; 64.2 deg, I = 7; 64.4 deg, I = 21; 65.0 deg, I = 14

abc: 8.681 8.681 8.681
angles: 146.85 131.56 59.95
Atoms (fractional coordinates):
Pm1 0.083 0.339 0.744
Pm2 0.243 0.000 0.243
Pm3 0.405 0.661 0.744
Pm4 0.595 0.339 0.256
Pm5 0.757 0.000 0.757
Pm6 0.917 0.661 0.256
Ge1 0.331 0.831 0.500
Ge2 0.669 0.169 0.500
Rh1 0.000 0.500 0.500

***

Record 8
Simulated powder diffractogram
Compound: SrAcGa2Ir2
Radiation: Cu Kα (weighted mean of Kα1 and Kα2)
Structure: a structure optimized by DFT (GGA-PBE)
No peak broadening, texture or thermal motion is included.

Peak list (10 most intense, 2θ from 5° to 70°, by angle)
9.9 deg, I = 19; 25.7 deg, I = 25; 31.1 deg, I = 100; 38.6 deg, I = 12; 40.4 deg, I = 16; 41.7 deg, I = 48; 52.9 deg, I = 23; 59.4 deg, I = 31; 67.7 deg, I = 11; 69.5 deg, I = 20

abc: 4.337 4.337 8.928
angles: 90.00 90.00 120.00
Atoms (fractional coordinates):
Sr1 0.000 0.000 0.000
Ac1 0.000 0.000 0.500
Ga1 0.333 0.667 0.754
Ga2 0.667 0.333 0.246
Ir1 0.333 0.667 0.268
Ir2 0.667 0.333 0.732